Sm2Ge6Rh: simulated powder XRD pattern (a wavelength of 1.5418 Å), based on a crystal structure in the Materials Project, relaxed with GGA-PBE.
No peak broadening, texture or thermal motion is included.

Atomic structure:
Cell: 4.1960 11.3264 11.3264 Å, 20.48 90.00 90.00°
Fractional positions:
Sm1 0.0000 0.0000 0.0000
Sm2 0.0000 0.3367 0.3367
Ge1 0.0000 0.6193 0.6193
Ge2 0.0000 0.7314 0.7314
Ge3 0.5000 0.1219 0.1219
Ge4 0.5000 0.2345 0.2345
Ge5 0.5000 0.4495 0.4495
Ge6 0.5000 0.8795 0.8795
Rh1 0.5000 0.5594 0.5594

The 8 most intense peaks (2θ from 10° to 90°), most intense first:
2theta	d_spacing	intensity
33.11	2.706	100.0
32.16	2.783	36.0
43.12	2.098	24.8
45.03	2.013	21.8
42.87	2.110	19.0
64.11	1.453	15.0
56.41	1.631	14.4
62.42	1.488	13.4